Diffraction record for Li2CoP4O12. The PXRD pattern is computed, not measured: it uses a DFT-relaxed cell (PBE+U, the Materials Project) and Cu Kα X-rays.
No peak broadening, texture or thermal motion is included.

The 10 most intense peaks (10° ≤ 2θ ≤ 80°), in order of rising 2θ:
index, two_theta, I/Imax
0 0 1, 12.88, 63.5
1 0 0, 18.99, 25.8
0 1 -1, 23.02, 12.3
0 0 2, 25.92, 17.8
1 2 1, 26.90, 100.0
1 -1 0, 27.36, 34.6
-1 1 1, 27.50, 31.7
1 0 -2, 32.13, 31.2
1 0 2, 32.53, 30.9
2 -1 2, 56.78, 16.8

Structural model:
Unit cell a=4.966 b=7.166 c=7.605 alpha=64.69 beta=82.30 gamma=70.21
Element x y z (fractional)
Li  0.023  0.245  0.054
Li  0.977  0.755  0.946
Co  0.000  0.000  0.500
P  0.438  0.403  0.283
P  0.439  0.193  0.712
P  0.561  0.807  0.288
P  0.562  0.597  0.717
O  0.221  0.130  0.857
O  0.230  0.462  0.131
O  0.265  0.756  0.712
O  0.283  0.982  0.291
O  0.293  0.307  0.495
O  0.473  0.618  0.279
O  0.527  0.382  0.721
O  0.707  0.693  0.505
O  0.717  0.018  0.709
O  0.735  0.244  0.288
O  0.770  0.538  0.869
O  0.779  0.870  0.143

---

Diffraction record for Li2CoP2O7. The PXRD pattern is computed, not measured: it uses a DFT-relaxed cell (PBE+U, the Materials Project) and Cu Kα X-rays.
No peak broadening, texture or thermal motion is included.

The 10 most intense peaks (10° ≤ 2θ ≤ 80°), in order of rising 2θ:
index, two_theta, I/Imax
0 0 2, 15.09, 38.6
1 -1 1, 22.48, 100.0
0 2 2, 23.49, 57.2
1 1 -3, 31.67, 60.1
0 2 4, 34.74, 12.5
1 3 1, 34.99, 50.9
-1 3 2, 36.93, 12.4
1 1 -4, 37.91, 39.6
-2 2 4, 51.92, 13.6
2 -4 2, 58.75, 18.7

Structural model:
Unit cell a=4.816 b=9.219 c=11.793 alpha=84.77 beta=89.98 gamma=89.96
Element x y z (fractional)
Li  0.000  0.000  0.000
Li  0.006  0.696  0.868
Li  0.474  0.700  0.356
Li  0.490  0.997  0.503
Li  0.499  0.499  0.000
Li  0.516  0.199  0.859
Li  0.973  0.199  0.354
Li  0.992  0.499  0.501
Co  0.495  0.097  0.189
Co  0.497  0.598  0.691
Co  0.997  0.098  0.690
Co  0.997  0.597  0.192
P  0.028  0.399  0.827
P  0.032  0.293  0.066
P  0.459  0.292  0.566
P  0.464  0.399  0.327
P  0.529  0.900  0.826
P  0.534  0.793  0.065
P  0.960  0.793  0.566
P  0.966  0.899  0.327
O  0.139  0.845  0.447
O  0.156  0.258  0.793
O  0.167  0.435  0.095
O  0.178  0.728  0.648
O  0.191  0.967  0.253
O  0.243  0.512  0.356
O  0.245  0.178  0.035
O  0.246  0.177  0.534
O  0.248  0.511  0.857
O  0.308  0.971  0.750
O  0.318  0.727  0.147
O  0.324  0.434  0.596
O  0.335  0.259  0.291
O  0.353  0.847  0.947
O  0.638  0.344  0.447
O  0.656  0.758  0.793
O  0.670  0.934  0.097
O  0.676  0.228  0.648
O  0.688  0.469  0.252
O  0.744  0.011  0.357
O  0.747  0.678  0.534
O  0.748  0.679  0.032
O  0.750  0.011  0.857
O  0.805  0.469  0.751
O  0.815  0.229  0.148
O  0.824  0.934  0.597
O  0.839  0.758  0.293
O  0.852  0.345  0.947

---

Diffraction record for Li3Co3P4O16. The PXRD pattern is computed, not measured: it uses a DFT-relaxed cell (PBE+U, the Materials Project) and Cu Kα X-rays.
No peak broadening, texture or thermal motion is included.

The 10 most intense peaks (10° ≤ 2θ ≤ 80°), in order of rising 2θ:
index, two_theta, I/Imax
1 1 0, 16.23, 100.0
1 0 -2, 20.69, 30.4
1 0 2, 22.04, 44.9
1 1 -2, 23.59, 67.2
1 1 2, 24.79, 31.2
2 1 0, 26.12, 72.4
1 2 -2, 30.80, 54.5
2 2 0, 32.77, 35.6
0 0 4, 36.11, 25.8
0 3 2, 38.73, 27.6

Structural model:
Unit cell a=7.584 b=7.890 c=9.974 alpha=90.00 beta=93.89 gamma=90.00
Element x y z (fractional)
Li  0.149  0.000  0.076
Li  0.162  0.998  0.572
Li  0.336  0.727  0.677
Li  0.664  0.227  0.323
Li  0.838  0.498  0.428
Li  0.851  0.500  0.924
Co  0.226  0.370  0.625
Co  0.245  0.353  0.122
Co  0.349  0.713  0.182
Co  0.651  0.213  0.818
Co  0.755  0.853  0.878
Co  0.774  0.870  0.375
P  0.050  0.161  0.856
P  0.059  0.179  0.356
P  0.438  0.542  0.399
P  0.446  0.549  0.891
P  0.554  0.049  0.109
P  0.562  0.042  0.601
P  0.941  0.679  0.644
P  0.950  0.661  0.144
O  0.011  0.482  0.100
O  0.012  0.995  0.393
O  0.095  0.799  0.654
O  0.111  0.783  0.150
O  0.135  0.166  0.719
O  0.152  0.172  0.219
O  0.196  0.217  0.964
O  0.209  0.234  0.465
O  0.293  0.504  0.788
O  0.293  0.506  0.275
O  0.341  0.556  0.528
O  0.366  0.547  0.034
O  0.401  0.919  0.101
O  0.409  0.923  0.592
O  0.485  0.227  0.143
O  0.492  0.724  0.344
O  0.508  0.224  0.656
O  0.515  0.727  0.857
O  0.591  0.423  0.408
O  0.599  0.419  0.899
O  0.634  0.047  0.966
O  0.659  0.056  0.472
O  0.707  0.004  0.212
O  0.707  0.006  0.725
O  0.791  0.734  0.535
O  0.804  0.717  0.036
O  0.848  0.672  0.781
O  0.865  0.666  0.281
O  0.889  0.283  0.850
O  0.905  0.299  0.346
O  0.988  0.495  0.607
O  0.989  0.982  0.900

---

Diffraction record for LiCo2P2O8. The PXRD pattern is computed, not measured: it uses a DFT-relaxed cell (PBE+U, the Materials Project) and Cu Kα X-rays.
No peak broadening, texture or thermal motion is included.

The 10 most intense peaks (10° ≤ 2θ ≤ 80°), in order of rising 2θ:
index, two_theta, I/Imax
0 1 2, 21.71, 100.0
2 0 3, 26.14, 6.9
1 1 3, 27.62, 4.3
2 1 3, 31.59, 7.1
0 2 0, 35.21, 25.9
2 1 4, 36.12, 8.2
2 1 5, 41.33, 5.8
2 2 2, 41.74, 9.5
0 1 6, 43.32, 5.9
0 0 8, 53.36, 4.6

Structural model:
Unit cell a=10.209 b=5.093 c=13.736 alpha=90.00 beta=90.00 gamma=90.00
Element x y z (fractional)
Li  0.221  0.050  0.000
Li  0.279  0.050  0.500
Li  0.721  0.950  0.000
Li  0.779  0.950  0.500
Co  0.035  0.559  0.003
Co  0.222  0.054  0.251
Co  0.278  0.054  0.751
Co  0.465  0.559  0.503
Co  0.535  0.441  0.003
Co  0.722  0.946  0.251
Co  0.778  0.946  0.751
Co  0.965  0.441  0.503
P  0.029  0.938  0.627
P  0.217  0.551  0.378
P  0.283  0.551  0.878
P  0.471  0.938  0.127
P  0.529  0.062  0.627
P  0.717  0.449  0.378
P  0.783  0.449  0.878
P  0.971  0.062  0.127
O  0.002  0.638  0.611
O  0.036  0.923  0.035
O  0.037  0.975  0.221
O  0.069  0.491  0.396
O  0.178  0.992  0.626
O  0.208  0.439  0.970
O  0.240  0.419  0.784
O  0.243  0.851  0.376
O  0.257  0.851  0.876
O  0.260  0.419  0.284
O  0.292  0.439  0.470
O  0.322  0.992  0.126
O  0.431  0.491  0.896
O  0.463  0.975  0.721
O  0.464  0.923  0.535
O  0.498  0.638  0.111
O  0.502  0.362  0.611
O  0.536  0.077  0.035
O  0.537  0.025  0.221
O  0.569  0.509  0.396
O  0.678  0.008  0.626
O  0.708  0.561  0.970
O  0.740  0.581  0.784
O  0.743  0.149  0.376
O  0.757  0.149  0.876
O  0.760  0.581  0.284
O  0.792  0.561  0.470
O  0.822  0.008  0.126
O  0.931  0.509  0.896
O  0.963  0.025  0.721
O  0.964  0.077  0.535
O  0.998  0.362  0.111